1.
The following is a calculated powder diffraction line list of CoPt5Rh3. It was derived from the PBE geometry in Alexandria, using λ = 1.5418 Å (Cu Kα).

Cell and atoms:
a b c (Å): 7.9501 7.9501 7.9501
angles (deg): 130.06 130.06 73.32
Positions (direct):
Co (0.2500, 0.7500, 0.5000)
Co (0.7500, 0.2500, 0.5000)
Pt (0.0000, 0.0000, 0.0000)
Pt (0.0582, 0.5582, 0.9116)
Pt (0.1466, 0.0582, 0.5000)
Pt (0.3534, 0.8534, 0.9116)
Pt (0.4418, 0.3534, 0.5000)
Pt (0.5000, 0.5000, 0.0000)
Pt (0.5582, 0.6466, 0.5000)
Pt (0.6466, 0.1466, 0.0884)
Pt (0.8534, 0.9418, 0.5000)
Pt (0.9418, 0.4418, 0.0884)
Rh (0.1217, 0.3783, 0.5000)
Rh (0.2500, 0.2500, 0.0000)
Rh (0.3783, 0.8783, 0.2566)
Rh (0.6217, 0.1217, 0.7434)
Rh (0.7500, 0.7500, 0.0000)
Rh (0.8783, 0.6217, 0.5000)

Largest 8 diffraction maxima, low angle first, 2θ = 5–70°:
- d 3.356, 2θ = 26.56°, intensity 126
- d 2.452, 2θ = 36.64°, intensity 731
- d 2.373, 2θ = 37.91°, intensity 534
- d 2.312, 2θ = 38.96°, intensity 1000
- d 2.124, 2θ = 42.56°, intensity 378
- d 1.615, 2θ = 57.03°, intensity 133
- d 1.520, 2θ = 60.94°, intensity 241
- d 1.358, 2θ = 69.17°, intensity 155

=====

2.
The following is a calculated powder diffraction line list of Sr2ScAg2Se4. It was derived from the PBE geometry in Alexandria, using λ = 1.5418 Å (Cu Kα).

Cell and atoms:
a b c (Å): 8.2240 8.2240 7.7302
angles (deg): 115.60 115.60 28.47
Positions (direct):
Sr (0.1370, 0.1370, 0.0810)
Sr (0.8630, 0.8630, 0.9190)
Sc (0.0000, 0.0000, 0.5000)
Ag (0.3151, 0.3151, 0.5044)
Ag (0.6849, 0.6849, 0.4956)
Se (0.1915, 0.1915, 0.7410)
Se (0.4942, 0.4942, 0.7545)
Se (0.5058, 0.5058, 0.2455)
Se (0.8085, 0.8085, 0.2590)

Largest 8 diffraction maxima, low angle first, 2θ = 5–70°:
- d 6.919, 2θ = 12.79°, intensity 241
- d 3.228, 2θ = 27.63°, intensity 287
- d 3.176, 2θ = 28.09°, intensity 408
- d 2.725, 2θ = 32.87°, intensity 1000
- d 2.554, 2θ = 35.14°, intensity 844
- d 2.377, 2θ = 37.84°, intensity 603
- d 2.022, 2θ = 44.81°, intensity 408
- d 1.965, 2θ = 46.19°, intensity 258

=====

3.
The following is a calculated powder diffraction line list of Ni6PPb12. It was derived from the PBE geometry in Alexandria, using λ = 1.5418 Å (Cu Kα).

Cell and atoms:
a b c (Å): 8.3514 8.3514 8.3514
angles (deg): 109.47 109.47 109.47
Positions (direct):
Ni (0.1254, 0.5000, 0.6254)
Ni (0.3746, 0.8746, 0.5000)
Ni (0.5000, 0.3746, 0.8746)
Ni (0.5000, 0.6254, 0.1254)
Ni (0.6254, 0.1254, 0.5000)
Ni (0.8746, 0.5000, 0.3746)
P (0.0000, 0.0000, 0.0000)
Pb (0.1189, 0.2984, 0.8205)
Pb (0.1795, 0.4779, 0.2984)
Pb (0.1795, 0.8811, 0.7016)
Pb (0.2984, 0.1795, 0.4779)
Pb (0.2984, 0.8205, 0.1189)
Pb (0.4779, 0.2984, 0.1795)
Pb (0.5221, 0.7016, 0.8205)
Pb (0.7016, 0.1795, 0.8811)
Pb (0.7016, 0.8205, 0.5221)
Pb (0.8205, 0.1189, 0.2984)
Pb (0.8205, 0.5221, 0.7016)
Pb (0.8811, 0.7016, 0.1795)

Largest 8 diffraction maxima, low angle first, 2θ = 5–70°:
- d 3.409, 2θ = 26.14°, intensity 179
- d 3.049, 2θ = 29.29°, intensity 509
- d 2.784, 2θ = 32.15°, intensity 337
- d 2.577, 2θ = 34.81°, intensity 1000
- d 2.273, 2θ = 39.65°, intensity 148
- d 1.654, 2θ = 55.57°, intensity 453
- d 1.564, 2θ = 59.05°, intensity 328
- d 1.364, 2θ = 68.84°, intensity 158

=====

4.
The following is a calculated powder diffraction line list of La2CdGa3Ag4. It was derived from the PBE geometry in Alexandria, using λ = 1.5418 Å (Cu Kα).

Cell and atoms:
a b c (Å): 4.5043 4.5043 11.0178
angles (deg): 90.00 90.00 90.00
Positions (direct):
La (0.0000, 0.5000, 0.2404)
La (0.5000, 0.0000, 0.7596)
Cd (0.0000, 0.0000, 0.5000)
Ga (0.0000, 0.5000, 0.8720)
Ga (0.5000, 0.0000, 0.1280)
Ga (0.5000, 0.5000, 0.5000)
Ag (0.0000, 0.0000, 0.0000)
Ag (0.0000, 0.5000, 0.6421)
Ag (0.5000, 0.0000, 0.3579)
Ag (0.5000, 0.5000, 0.0000)

Largest 8 diffraction maxima, low angle first, 2θ = 5–70°:
- d 2.846, 2θ = 31.43°, intensity 418
- d 2.757, 2θ = 32.47°, intensity 1000
- d 2.252, 2θ = 40.03°, intensity 548
- d 2.083, 2θ = 43.43°, intensity 196
- d 1.979, 2θ = 45.84°, intensity 235
- d 1.766, 2θ = 51.76°, intensity 202
- d 1.592, 2θ = 57.93°, intensity 265
- d 1.379, 2θ = 67.98°, intensity 234

=====

5.
The following is a calculated powder diffraction line list of CaGd2BeO5. It was derived from the PBE geometry in Alexandria, using λ = 1.5418 Å (Cu Kα).

Cell and atoms:
a b c (Å): 9.3707 6.4267 7.0648
angles (deg): 90.00 90.00 90.00
Positions (direct):
Ca (0.1766, 0.0801, 0.0000)
Ca (0.3234, 0.5801, 0.5000)
Ca (0.6766, 0.4199, 0.0000)
Ca (0.8234, 0.9199, 0.5000)
Gd (0.0217, 0.5963, 0.7647)
Gd (0.1732, 0.0702, 0.5467)
Gd (0.3268, 0.5702, 0.0467)
Gd (0.4783, 0.0963, 0.2647)
Gd (0.5217, 0.9037, 0.7647)
Gd (0.6732, 0.4298, 0.5467)
Gd (0.8268, 0.9298, 0.0467)
Gd (0.9783, 0.4037, 0.2647)
Be (0.1039, 0.8057, 0.2666)
Be (0.3961, 0.3057, 0.7666)
Be (0.6039, 0.6943, 0.2666)
Be (0.8961, 0.1943, 0.7666)
O (0.0104, 0.0207, 0.2684)
O (0.0731, 0.6828, 0.0730)
O (0.0732, 0.6922, 0.4637)
O (0.2203, 0.3609, 0.7669)
O (0.2235, 0.3363, 0.2640)
O (0.2765, 0.8363, 0.7640)
O (0.2797, 0.8609, 0.2669)
O (0.4269, 0.1828, 0.5730)
O (0.4268, 0.1922, 0.9637)
O (0.4896, 0.5207, 0.7684)
O (0.5104, 0.4793, 0.2684)
O (0.5732, 0.8078, 0.4637)
O (0.5731, 0.8172, 0.0730)
O (0.7203, 0.1391, 0.7669)
O (0.7235, 0.1637, 0.2640)
O (0.7765, 0.6637, 0.7640)
O (0.7797, 0.6391, 0.2669)
O (0.9268, 0.3078, 0.9637)
O (0.9269, 0.3172, 0.5730)
O (0.9896, 0.9793, 0.7684)

Largest 8 diffraction maxima, low angle first, 2θ = 5–70°:
- d 4.240, 2θ = 20.95°, intensity 608
- d 3.905, 2θ = 22.77°, intensity 347
- d 3.337, 2θ = 26.71°, intensity 346
- d 2.939, 2θ = 30.41°, intensity 999
- d 2.821, 2θ = 31.72°, intensity 725
- d 2.809, 2θ = 31.85°, intensity 1000
- d 2.792, 2θ = 32.06°, intensity 625
- d 2.304, 2θ = 39.10°, intensity 371

=====

6.
The following is a calculated powder diffraction line list of La3Tb2Sm4. It was derived from the PBE geometry in Alexandria, using λ = 1.5418 Å (Cu Kα).

Cell and atoms:
a b c (Å): 8.1831 8.1831 10.9434
angles (deg): 103.45 103.45 25.84
Positions (direct):
La (0.0000, 0.0000, 0.0000)
La (0.3326, 0.3326, 0.4445)
La (0.6674, 0.6674, 0.5555)
Tb (0.3330, 0.3330, 0.7788)
Tb (0.6670, 0.6670, 0.2212)
Sm (0.9999, 0.9999, 0.3310)
Sm (0.0001, 0.0001, 0.6690)
Sm (0.3328, 0.3328, 0.1102)
Sm (0.6672, 0.6672, 0.8898)

Largest 8 diffraction maxima, low angle first, 2θ = 5–70°:
- d 2.988, 2θ = 29.90°, intensity 1000
- d 2.965, 2θ = 30.14°, intensity 326
- d 2.583, 2θ = 34.73°, intensity 673
- d 1.832, 2θ = 49.78°, intensity 243
- d 1.820, 2θ = 50.14°, intensity 159
- d 1.561, 2θ = 59.18°, intensity 241
- d 1.557, 2θ = 59.34°, intensity 191
- d 1.552, 2θ = 59.58°, intensity 141

=====

7.
The following is a calculated powder diffraction line list of VZn4Au. It was derived from the PBE geometry in Alexandria, using λ = 1.5418 Å (Cu Kα).

Cell and atoms:
a b c (Å): 5.0579 5.0579 5.0579
angles (deg): 60.00 60.00 60.00
Positions (direct):
V (0.0000, 0.0000, 0.0000)
Zn (0.1243, 0.6252, 0.6252)
Zn (0.6252, 0.1243, 0.6252)
Zn (0.6252, 0.6252, 0.1243)
Zn (0.6252, 0.6252, 0.6252)
Au (0.2500, 0.2500, 0.2500)

Largest 8 diffraction maxima, low angle first, 2θ = 5–70°:
- d 4.130, 2θ = 21.52°, intensity 185
- d 3.576, 2θ = 24.90°, intensity 186
- d 2.529, 2θ = 35.50°, intensity 435
- d 2.157, 2θ = 41.89°, intensity 1000
- d 2.065, 2θ = 43.84°, intensity 269
- d 1.599, 2θ = 57.63°, intensity 81
- d 1.460, 2θ = 63.74°, intensity 157
- d 1.377, 2θ = 68.11°, intensity 306

=====

8.
The following is a calculated powder diffraction line list of Ba2CeCdO5. It was derived from the PBE geometry in Alexandria, using λ = 1.5418 Å (Cu Kα).

Cell and atoms:
a b c (Å): 7.5321 7.5321 11.2681
angles (deg): 90.00 90.00 150.10
Positions (direct):
Ba (0.1167, 0.8833, 0.5000)
Ba (0.1387, 0.8613, 0.0979)
Ba (0.8613, 0.1387, 0.5979)
Ba (0.8833, 0.1167, 0.0000)
Ce (0.4555, 0.5445, 0.2849)
Ce (0.5445, 0.4555, 0.7849)
Cd (0.2315, 0.7685, 0.8227)
Cd (0.7685, 0.2315, 0.3227)
O (0.0519, 0.9481, 0.8707)
O (0.2932, 0.7068, 0.4510)
O (0.3130, 0.6870, 0.1929)
O (0.3882, 0.6118, 0.8219)
O (0.4989, 0.5011, 0.1050)
O (0.5011, 0.4989, 0.6050)
O (0.6118, 0.3882, 0.3219)
O (0.6870, 0.3130, 0.6929)
O (0.7068, 0.2932, 0.9510)
O (0.9481, 0.0519, 0.3707)

Largest 8 diffraction maxima, low angle first, 2θ = 5–70°:
- d 3.338, 2θ = 26.71°, intensity 649
- d 3.124, 2θ = 28.57°, intensity 1000
- d 3.057, 2θ = 29.22°, intensity 766
- d 3.033, 2θ = 29.45°, intensity 574
- d 2.929, 2θ = 30.52°, intensity 614
- d 2.655, 2θ = 33.75°, intensity 626
- d 2.371, 2θ = 37.94°, intensity 368
- d 1.809, 2θ = 50.45°, intensity 482